1.
Theoretical powder XRD pattern
Compound: Sr3DyTm3Se8
Radiation: λ = 1.5418 Å (Cu Kα)
Structure: a crystal structure in Alexandria, relaxed with GGA-PBE
Kinematic intensities with the Lorentz-polarization factor, no thermal factor.

Largest 12 diffraction maxima, by angle, 5° ≤ 2θ ≤ 70°:
7.109 Å, rel. 26.2
3.523 Å, rel. 8.5
3.387 Å, rel. 4.9
2.968 Å, rel. 100.0
2.318 Å, rel. 8.0
2.136 Å, rel. 37.4
2.063 Å, rel. 35.9
1.981 Å, rel. 6.7
1.778 Å, rel. 7.8
1.694 Å, rel. 18.9
1.484 Å, rel. 11.6
1.346 Å, rel. 16.5

Structural model:
a b c (Å): 8.2504 8.2504 21.3256
angles (deg): 90.00 90.00 120.00
Space group R-3m (No. 166, hexagonal axes)
Unique sites:
Sr1 0.0000 0.5000 0.0000 (multiplicity 9)
Dy1 0.0000 0.0000 0.5000 (multiplicity 3)
Tm1 0.0000 0.5000 0.5000 (multiplicity 9)
Se1 0.0000 0.0000 0.2420 (multiplicity 6)
Se2 0.0052 0.5026 0.7581 (multiplicity 18)

=====

2.
Theoretical powder XRD pattern
Compound: Dy3TaSe6
Radiation: λ = 1.5418 Å (Cu Kα)
Structure: a crystal structure in Alexandria, relaxed with GGA-PBE
Kinematic intensities with the Lorentz-polarization factor, no thermal factor.

Largest 12 diffraction maxima, by angle, 5° ≤ 2θ ≤ 70°:
3.673 Å, rel. 100.0
3.624 Å, rel. 71.6
3.190 Å, rel. 24.6
2.677 Å, rel. 68.9
2.475 Å, rel. 70.0
2.430 Å, rel. 57.5
2.231 Å, rel. 74.8
1.936 Å, rel. 21.1
1.919 Å, rel. 28.7
1.898 Å, rel. 24.9
1.870 Å, rel. 28.3
1.482 Å, rel. 17.0

Structural model:
a b c (Å): 11.2207 13.9036 6.7974
angles (deg): 90.00 90.00 90.00
Space group Cmc2_1 (No. 36)
Unique sites:
Dy1 0.0000 0.0929 0.0000 (multiplicity 4)
Dy2 0.1781 0.4052 0.9053 (multiplicity 8)
Ta1 0.0000 0.3027 0.3537 (multiplicity 4)
Se1 0.0000 0.2780 0.7183 (multiplicity 4)
Se2 0.0000 0.4695 0.2055 (multiplicity 4)
Se3 0.1637 0.0340 0.7047 (multiplicity 8)
Se4 0.1706 0.2313 0.1755 (multiplicity 8)

=====

3.
Theoretical powder XRD pattern
Compound: Tb2Dy4Se9
Radiation: λ = 1.5418 Å (Cu Kα)
Structure: a crystal structure in Alexandria, relaxed with GGA-PBE
Kinematic intensities with the Lorentz-polarization factor, no thermal factor.

Largest 12 diffraction maxima, by angle, 5° ≤ 2θ ≤ 70°:
5.260 Å, rel. 42.1
3.843 Å, rel. 56.3
3.608 Å, rel. 39.8
3.154 Å, rel. 56.8
2.630 Å, rel. 36.4
2.414 Å, rel. 100.0
2.125 Å, rel. 33.4
2.083 Å, rel. 62.1
1.861 Å, rel. 18.1
1.857 Å, rel. 12.1
1.577 Å, rel. 25.7
1.503 Å, rel. 13.6

Structural model:
a b c (Å): 7.2127 7.2149 19.4957
angles (deg): 90.00 89.97 60.03
Space group P-1 (No. 2)
Unique sites:
Tb1 0.0002 0.0012 0.1515 (multiplicity 2)
Tb2 0.0011 0.9984 0.3482 (multiplicity 2)
Dy1 0.3323 0.3337 0.8185 (multiplicity 2)
Dy2 0.3329 0.3335 0.0147 (multiplicity 2)
Dy3 0.3343 0.3331 0.3188 (multiplicity 2)
Dy4 0.3339 0.3333 0.5143 (multiplicity 2)
Se1 0.0011 0.3054 0.2501 (multiplicity 2)
Se2 0.0289 0.3334 0.9169 (multiplicity 2)
Se3 0.0286 0.6363 0.4169 (multiplicity 2)
Se4 0.3052 0.9997 0.7501 (multiplicity 2)
Se5 0.3058 0.6939 0.2497 (multiplicity 2)
Se6 0.3350 0.6360 0.9167 (multiplicity 2)
Se7 0.3356 0.0275 0.4166 (multiplicity 2)
Se8 0.3620 0.6657 0.5834 (multiplicity 2)
Se9 0.3642 0.9710 0.0833 (multiplicity 2)

=====

4.
Theoretical powder XRD pattern
Compound: Tb2Dy3Se8
Radiation: λ = 1.5418 Å (Cu Kα)
Structure: a crystal structure in Alexandria, relaxed with GGA-PBE
Kinematic intensities with the Lorentz-polarization factor, no thermal factor.

Largest 12 diffraction maxima, by angle, 5° ≤ 2θ ≤ 70°:
5.776 Å, rel. 24.9
4.435 Å, rel. 58.8
3.932 Å, rel. 45.8
3.510 Å, rel. 31.5
3.349 Å, rel. 54.6
3.295 Å, rel. 27.5
2.672 Å, rel. 100.0
2.633 Å, rel. 48.3
2.236 Å, rel. 97.0
2.055 Å, rel. 34.4
2.027 Å, rel. 67.3
1.620 Å, rel. 21.1

Structural model:
a b c (Å): 14.3108 8.2219 6.9917
angles (deg): 90.00 109.54 90.00
Space group C2/m (No. 12)
Unique sites:
Tb1 0.2420 0.0000 0.1621 (multiplicity 4)
Dy1 0.0000 0.2386 0.5000 (multiplicity 4)
Dy2 0.0000 0.5000 0.0000 (multiplicity 2)
Se1 0.1182 0.5000 0.4238 (multiplicity 4)
Se2 0.1200 0.0000 0.4099 (multiplicity 4)
Se3 0.1231 0.2612 0.9141 (multiplicity 8)

=====

5.
Theoretical powder XRD pattern
Compound: Tb6Dy2Se3
Radiation: λ = 1.5418 Å (Cu Kα)
Structure: a crystal structure in Alexandria, relaxed with GGA-PBE
Kinematic intensities with the Lorentz-polarization factor, no thermal factor.

Largest 12 diffraction maxima, by angle, 5° ≤ 2θ ≤ 70°:
3.156 Å, rel. 13.4
3.114 Å, rel. 33.9
2.974 Å, rel. 100.0
2.816 Å, rel. 29.0
2.807 Å, rel. 14.1
2.706 Å, rel. 19.7
2.541 Å, rel. 34.1
2.231 Å, rel. 16.6
1.904 Å, rel. 48.3
1.810 Å, rel. 17.5
1.603 Å, rel. 16.0
1.575 Å, rel. 15.0

Structural model:
a b c (Å): 3.8075 3.8075 75.7756
angles (deg): 90.00 90.00 120.00
Space group R-3m (No. 166, hexagonal axes)
Unique sites:
Tb1 0.0000 0.0000 0.0736 (multiplicity 6)
Tb2 0.0000 0.0000 0.1851 (multiplicity 6)
Tb3 0.0000 0.0000 0.3578 (multiplicity 6)
Dy1 0.0000 0.0000 0.4442 (multiplicity 6)
Se1 0.0000 0.0000 0.0000 (multiplicity 3)
Se2 0.0000 0.0000 0.2848 (multiplicity 6)

=====

6.
Theoretical powder XRD pattern
Compound: TbDySe3
Radiation: λ = 1.5418 Å (Cu Kα)
Structure: a crystal structure in Alexandria, relaxed with GGA-PBE
Kinematic intensities with the Lorentz-polarization factor, no thermal factor.

Largest 12 diffraction maxima, by angle, 5° ≤ 2θ ≤ 70°:
4.074 Å, rel. 34.7
3.733 Å, rel. 26.2
3.627 Å, rel. 47.3
2.856 Å, rel. 100.0
2.746 Å, rel. 31.9
2.716 Å, rel. 22.3
2.405 Å, rel. 36.3
2.277 Å, rel. 48.0
2.212 Å, rel. 42.6
2.026 Å, rel. 38.6
2.014 Å, rel. 30.4
1.428 Å, rel. 20.0

Structural model:
a b c (Å): 8.0803 4.0523 8.1752
angles (deg): 90.00 94.70 90.00
Space group P2_1/m (No. 11)
Unique sites:
Tb1 0.1163 0.2500 0.2690 (multiplicity 2)
Dy1 0.3559 0.7500 0.8183 (multiplicity 2)
Se1 0.1212 0.2500 0.8885 (multiplicity 2)
Se2 0.1793 0.7500 0.5180 (multiplicity 2)
Se3 0.3916 0.7500 0.1796 (multiplicity 2)

=====

7.
Theoretical powder XRD pattern
Compound: TbDy3Se4
Radiation: λ = 1.5418 Å (Cu Kα)
Structure: a crystal structure in Alexandria, relaxed with GGA-PBE
Kinematic intensities with the Lorentz-polarization factor, no thermal factor.

Largest 12 diffraction maxima, by angle, 5° ≤ 2θ ≤ 70°:
3.350 Å, rel. 16.1
3.310 Å, rel. 15.7
2.893 Å, rel. 50.6
2.879 Å, rel. 100.0
2.055 Å, rel. 19.0
2.041 Å, rel. 74.6
2.018 Å, rel. 18.0
1.746 Å, rel. 8.0
1.675 Å, rel. 20.0
1.655 Å, rel. 19.2
1.446 Å, rel. 6.1
1.440 Å, rel. 12.1

Structural model:
a b c (Å): 7.0973 8.0718 7.0958
angles (deg): 90.00 109.23 90.00
Space group P2/c (No. 13)
Unique sites:
Tb1 0.0000 0.1246 0.2500 (multiplicity 2)
Dy1 0.0000 0.3746 0.7500 (multiplicity 2)
Dy2 0.5000 0.1247 0.7500 (multiplicity 2)
Dy3 0.5000 0.3748 0.2500 (multiplicity 2)
Se1 0.2514 0.1257 0.0000 (multiplicity 4)
Se2 0.2505 0.3757 0.5006 (multiplicity 4)

=====

8.
Theoretical powder XRD pattern
Compound: Tb4Dy3ThSe8
Radiation: λ = 1.5418 Å (Cu Kα)
Structure: a crystal structure in Alexandria, relaxed with GGA-PBE
Kinematic intensities with the Lorentz-polarization factor, no thermal factor.

Largest 11 diffraction maxima, by angle, 5° ≤ 2θ ≤ 70°:
6.700 Å, rel. 0.7
3.501 Å, rel. 0.8
3.351 Å, rel. 23.6
2.902 Å, rel. 100.0
2.663 Å, rel. 0.6
2.052 Å, rel. 74.4
1.751 Å, rel. 8.9
1.748 Å, rel. 3.0
1.677 Å, rel. 19.7
1.673 Å, rel. 6.5
1.451 Å, rel. 12.2

Structural model:
a b c (Å): 8.2168 8.2168 20.0706
angles (deg): 90.00 90.00 120.00
Space group R-3m (No. 166, hexagonal axes)
Unique sites:
Tb1 0.0000 0.0000 0.0000 (multiplicity 3)
Tb2 0.0000 0.5000 0.0000 (multiplicity 9)
Dy1 0.0000 0.5000 0.5000 (multiplicity 9)
Th1 0.0000 0.0000 0.5000 (multiplicity 3)
Se1 0.0000 0.0000 0.2493 (multiplicity 6)
Se2 0.0060 0.5030 0.7492 (multiplicity 18)

=====

9.
Theoretical powder XRD pattern
Compound: Tb3Dy3TmSe8
Radiation: λ = 1.5418 Å (Cu Kα)
Structure: a crystal structure in Alexandria, relaxed with GGA-PBE
Kinematic intensities with the Lorentz-polarization factor, no thermal factor.

Largest 12 diffraction maxima, by angle, 5° ≤ 2θ ≤ 70°:
6.644 Å, rel. 8.9
5.754 Å, rel. 3.9
4.068 Å, rel. 3.5
3.470 Å, rel. 5.9
3.322 Å, rel. 14.2
2.877 Å, rel. 100.0
2.640 Å, rel. 2.9
2.034 Å, rel. 74.0
1.945 Å, rel. 2.4
1.735 Å, rel. 7.2
1.661 Å, rel. 26.0
1.438 Å, rel. 12.1

Structural model:
a b c (Å): 8.1339 8.1339 19.9460
angles (deg): 90.00 90.00 120.00
Space group R-3m (No. 166, hexagonal axes)
Unique sites:
Tb1 0.0000 0.5000 0.0000 (multiplicity 9)
Dy1 0.0000 0.5000 0.5000 (multiplicity 9)
Tm1 0.0000 0.0000 0.5000 (multiplicity 3)
Se1 0.0000 0.0000 0.2494 (multiplicity 6)
Se2 0.0011 0.5006 0.7503 (multiplicity 18)

=====

10.
Theoretical powder XRD pattern
Compound: Tb4DyTmSe8
Radiation: λ = 1.5418 Å (Cu Kα)
Structure: a crystal structure in Alexandria, relaxed with GGA-PBE
Kinematic intensities with the Lorentz-polarization factor, no thermal factor.

Largest 12 diffraction maxima, by angle, 5° ≤ 2θ ≤ 70°:
6.877 Å, rel. 10.8
4.211 Å, rel. 27.0
3.591 Å, rel. 97.8
2.977 Å, rel. 48.8
2.431 Å, rel. 12.1
2.292 Å, rel. 50.2
2.105 Å, rel. 100.0
1.817 Å, rel. 11.2
1.720 Å, rel. 9.0
1.551 Å, rel. 20.1
1.489 Å, rel. 16.0
1.376 Å, rel. 11.8

Structural model:
a b c (Å): 8.4275 8.4275 20.5993
angles (deg): 90.00 90.00 120.00
Space group R3m (No. 160, hexagonal axes)
Unique sites:
Tb1 0.0000 0.0000 0.0000 (multiplicity 3)
Tb2 0.0003 0.5001 0.1243 (multiplicity 9)
Dy1 0.0000 0.0000 0.2486 (multiplicity 3)
Tm1 0.0000 0.0000 0.6241 (multiplicity 3)
Se1 0.0000 0.0000 0.3806 (multiplicity 3)
Se2 0.0000 0.0000 0.8675 (multiplicity 3)
Se3 0.0239 0.5119 0.3751 (multiplicity 9)
Se4 0.1779 0.3558 0.2069 (multiplicity 9)

=====

11.
Theoretical powder XRD pattern
Compound: Dy5TeSe4
Radiation: λ = 1.5418 Å (Cu Kα)
Structure: a crystal structure in Alexandria, relaxed with GGA-PBE
Kinematic intensities with the Lorentz-polarization factor, no thermal factor.

Largest 12 diffraction maxima, by angle, 5° ≤ 2θ ≤ 70°:
3.364 Å, rel. 11.8
2.923 Å, rel. 100.0
2.919 Å, rel. 49.8
2.076 Å, rel. 17.1
2.069 Å, rel. 35.7
2.062 Å, rel. 36.2
2.058 Å, rel. 19.0
1.759 Å, rel. 6.2
1.695 Å, rel. 9.2
1.689 Å, rel. 9.2
1.682 Å, rel. 19.5
1.461 Å, rel. 16.5

Structural model:
a b c (Å): 13.7806 4.1155 10.1318
angles (deg): 90.00 119.75 90.00
Space group C2/m (No. 12)
Unique sites:
Dy1 0.0000 0.0000 0.0000 (multiplicity 2)
Dy2 0.1135 0.5000 0.3932 (multiplicity 4)
Dy3 0.2094 0.0000 0.8158 (multiplicity 4)
Te1 0.0000 0.0000 0.5000 (multiplicity 2)
Se1 0.0935 0.5000 0.8922 (multiplicity 4)
Se2 0.2042 0.0000 0.2934 (multiplicity 4)

=====

12.
Theoretical powder XRD pattern
Compound: Dy3TeSe3
Radiation: λ = 1.5418 Å (Cu Kα)
Structure: a crystal structure in Alexandria, relaxed with GGA-PBE
Kinematic intensities with the Lorentz-polarization factor, no thermal factor.

Largest 12 diffraction maxima, by angle, 5° ≤ 2θ ≤ 70°:
8.353 Å, rel. 22.1
4.823 Å, rel. 14.0
3.736 Å, rel. 16.0
2.953 Å, rel. 100.0
2.784 Å, rel. 8.9
2.317 Å, rel. 8.6
2.157 Å, rel. 9.2
2.088 Å, rel. 71.9
2.026 Å, rel. 6.0
1.705 Å, rel. 24.4
1.477 Å, rel. 10.9
1.373 Å, rel. 5.6

Structural model:
a b c (Å): 11.8132 11.8132 11.8132
angles (deg): 90.00 90.00 90.00
Space group I4_132 (No. 214)
Unique sites:
Dy1 0.1129 0.1250 0.8629 (multiplicity 24)
Te1 0.1250 0.1250 0.1250 (multiplicity 8)
Se1 0.1204 0.3750 0.3704 (multiplicity 24)

=====

Please write out number 8 again, unchanged.
Theoretical powder XRD pattern
Compound: Tb4Dy3ThSe8
Radiation: λ = 1.5418 Å (Cu Kα)
Structure: a crystal structure in Alexandria, relaxed with GGA-PBE
Kinematic intensities with the Lorentz-polarization factor, no thermal factor.

Largest 11 diffraction maxima, by angle, 5° ≤ 2θ ≤ 70°:
6.700 Å, rel. 0.7
3.501 Å, rel. 0.8
3.351 Å, rel. 23.6
2.902 Å, rel. 100.0
2.663 Å, rel. 0.6
2.052 Å, rel. 74.4
1.751 Å, rel. 8.9
1.748 Å, rel. 3.0
1.677 Å, rel. 19.7
1.673 Å, rel. 6.5
1.451 Å, rel. 12.2

Structural model:
a b c (Å): 8.2168 8.2168 20.0706
angles (deg): 90.00 90.00 120.00
Space group R-3m (No. 166, hexagonal axes)
Unique sites:
Tb1 0.0000 0.0000 0.0000 (multiplicity 3)
Tb2 0.0000 0.5000 0.0000 (multiplicity 9)
Dy1 0.0000 0.5000 0.5000 (multiplicity 9)
Th1 0.0000 0.0000 0.5000 (multiplicity 3)
Se1 0.0000 0.0000 0.2493 (multiplicity 6)
Se2 0.0060 0.5030 0.7492 (multiplicity 18)

=====

Repeat the eleventh record exactly.
Theoretical powder XRD pattern
Compound: Dy5TeSe4
Radiation: λ = 1.5418 Å (Cu Kα)
Structure: a crystal structure in Alexandria, relaxed with GGA-PBE
Kinematic intensities with the Lorentz-polarization factor, no thermal factor.

Largest 12 diffraction maxima, by angle, 5° ≤ 2θ ≤ 70°:
3.364 Å, rel. 11.8
2.923 Å, rel. 100.0
2.919 Å, rel. 49.8
2.076 Å, rel. 17.1
2.069 Å, rel. 35.7
2.062 Å, rel. 36.2
2.058 Å, rel. 19.0
1.759 Å, rel. 6.2
1.695 Å, rel. 9.2
1.689 Å, rel. 9.2
1.682 Å, rel. 19.5
1.461 Å, rel. 16.5

Structural model:
a b c (Å): 13.7806 4.1155 10.1318
angles (deg): 90.00 119.75 90.00
Space group C2/m (No. 12)
Unique sites:
Dy1 0.0000 0.0000 0.0000 (multiplicity 2)
Dy2 0.1135 0.5000 0.3932 (multiplicity 4)
Dy3 0.2094 0.0000 0.8158 (multiplicity 4)
Te1 0.0000 0.0000 0.5000 (multiplicity 2)
Se1 0.0935 0.5000 0.8922 (multiplicity 4)
Se2 0.2042 0.0000 0.2934 (multiplicity 4)